# 1
Calculated powder diffraction line list
Compound: TmScCo2Te2
Radiation: Cu Kα (λ = 1.5418 Å)
Structure: a PBE-relaxed structure

Top 10 peaks for 10° ≤ 2θ ≤ 90°, low angle first:
- 10.79 deg, I 3, (1 0 0)
- 25.11 deg, I 13, (2 0 1)
- 29.07 deg, I 44, (0 0 4)
- 41.58 deg, I 100, (0 2 0)
- 49.19 deg, I 6, (2 2 1)
- 51.53 deg, I 12, (0 2 4)
- 60.26 deg, I 16, (4 2 -2)
- 68.28 deg, I 16, (4 2 -6)
- 75.86 deg, I 27, (2 3 3)
- 75.91 deg, I 5, (2 3 -5)

```
data_TmScCo2Te2
_cell_length_a 8.6926
_cell_length_b 4.3416
_cell_length_c 13.0275
_cell_angle_alpha 90.00
_cell_angle_beta 109.43
_cell_angle_gamma 90.00
_symmetry_space_group_name_H-M 'P 1 m 1'
_symmetry_Int_Tables_number 6
_symmetry_space_group_name_Hall 'P -2y'
loop_
_atom_site_label
_atom_site_fract_x
_atom_site_fract_y
_atom_site_fract_z
Tm1 0.0000 0.0000 0.0000
Tm2 0.1250 0.5000 0.7496
Tm3 0.2506 0.0000 0.4998
Tm4 0.5009 0.0000 0.0011
Sc1 0.3767 0.5000 0.2512
Sc2 0.6245 0.5000 0.7488
Sc3 0.7484 0.0000 0.4988
Sc4 0.8743 0.5000 0.2501
Co1 0.0648 0.5000 0.1301
Co2 0.1877 0.0000 0.8755
Co3 0.3198 0.5000 0.6268
Co4 0.4413 0.0000 0.3733
Co5 0.5658 0.5000 0.1302
Co6 0.6862 0.0000 0.8709
Co7 0.8068 0.5000 0.6217
Co8 0.9322 0.0000 0.3733
Te1 0.1256 0.0000 0.2509
Te2 0.2518 0.5000 0.0034
Te3 0.3795 0.0000 0.7499
Te4 0.5035 0.5000 0.4987
Te5 0.6264 0.0000 0.2522
Te6 0.7504 0.5000 0.0001
Te7 0.8690 0.0000 0.7465
Te8 0.9938 0.5000 0.4972
```

=====

# 2
Calculated powder diffraction line list
Compound: Co9Se8
Radiation: Cu Kα (λ = 1.5418 Å)
Structure: a PBE-relaxed structure

Top 10 peaks for 10° ≤ 2θ ≤ 90°, low angle first:
- 14.89 deg, I 7, (1 1 1)
- 28.73 deg, I 35, (3 1 1)
- 30.03 deg, I 67, (2 2 2)
- 38.06 deg, I 10, (3 3 1)
- 45.74 deg, I 23, (5 1 1)
- 50.06 deg, I 100, (4 4 0)
- 59.49 deg, I 26, (6 2 2)
- 70.13 deg, I 7, (5 5 3)
- 73.51 deg, I 15, (8 0 0)
- 81.39 deg, I 10, (6 6 2)

```
data_Co9Se8
_cell_length_a 10.3069
_cell_length_b 10.3069
_cell_length_c 10.3069
_cell_angle_alpha 90.00
_cell_angle_beta 90.00
_cell_angle_gamma 90.00
_symmetry_space_group_name_H-M 'F m -3 m'
_symmetry_Int_Tables_number 225
_symmetry_space_group_name_Hall '-F 4 2 3'
loop_
_atom_site_label
_atom_site_fract_x
_atom_site_fract_y
_atom_site_fract_z
Co1 0.0000 0.0000 0.0000
Co2 0.1234 0.1234 0.3766
Se1 0.0000 0.0000 0.2360
Se2 0.2500 0.2500 0.2500
```

=====

# 3
Calculated powder diffraction line list
Compound: Co5Se4
Radiation: Cu Kα (λ = 1.5418 Å)
Structure: a PBE-relaxed structure

Top 10 peaks for 10° ≤ 2θ ≤ 90°, low angle first:
- 24.93 deg, I 23, (1 1 -1)
- 32.17 deg, I 100, (1 1 2)
- 34.06 deg, I 89, (1 1 -3)
- 35.66 deg, I 42, (2 1 -1)
- 36.11 deg, I 29, (2 1 0)
- 38.84 deg, I 38, (1 1 3)
- 41.07 deg, I 30, (1 1 -4)
- 49.72 deg, I 36, (2 2 -1)
- 53.04 deg, I 28, (3 0 -4)
- 53.48 deg, I 28, (3 0 2)

```
data_Co5Se4
_cell_length_a 6.0231
_cell_length_b 4.6342
_cell_length_c 10.2245
_cell_angle_alpha 90.00
_cell_angle_beta 101.84
_cell_angle_gamma 90.00
_symmetry_space_group_name_H-M 'P 1 21/c 1'
_symmetry_Int_Tables_number 14
_symmetry_space_group_name_Hall '-P 2ybc'
loop_
_atom_site_label
_atom_site_fract_x
_atom_site_fract_y
_atom_site_fract_z
Co1 0.0000 0.0000 0.0000
Co2 0.2294 0.1508 0.6838
Co3 0.3008 0.7067 0.0078
Se1 0.0887 0.1323 0.3651
Se2 0.4888 0.5623 0.3548
```

=====

# 4
Calculated powder diffraction line list
Compound: CoSe2
Radiation: Cu Kα (λ = 1.5418 Å)
Structure: a PBE-relaxed structure

Top 10 peaks for 10° ≤ 2θ ≤ 90°, low angle first:
- 30.67 deg, I 18, (2 0 0)
- 34.39 deg, I 100, (2 1 0)
- 37.79 deg, I 75, (2 1 1)
- 43.92 deg, I 15, (2 2 0)
- 52.02 deg, I 64, (3 1 1)
- 56.94 deg, I 21, (3 0 2)
- 59.30 deg, I 39, (3 1 2)
- 74.58 deg, I 20, (4 2 1)
- 76.65 deg, I 9, (3 3 2)
- 86.79 deg, I 18, (3 3 3)

```
data_CoSe2
_cell_length_a 5.8308
_cell_length_b 5.8308
_cell_length_c 5.8308
_cell_angle_alpha 90.00
_cell_angle_beta 90.00
_cell_angle_gamma 90.00
_symmetry_space_group_name_H-M 'P a -3'
_symmetry_Int_Tables_number 205
_symmetry_space_group_name_Hall '-P 2ac 2ab 3'
loop_
_atom_site_label
_atom_site_fract_x
_atom_site_fract_y
_atom_site_fract_z
Co1 0.0000 0.0000 0.0000
Se1 0.1270 0.6270 0.8730
```

=====

# 5
Calculated powder diffraction line list
Compound: Sr2CoTcSe6
Radiation: Cu Kα (λ = 1.5418 Å)
Structure: a PBE-relaxed structure

Top 10 peaks for 10° ≤ 2θ ≤ 90°, low angle first:
- 14.76 deg, I 22, (0 0 1)
- 28.37 deg, I 65, (0 2 -1)
- 29.78 deg, I 100, (0 0 2)
- 31.94 deg, I 17, (0 2 0)
- 32.33 deg, I 17, (2 0 -2)
- 32.59 deg, I 34, (2 -1 0)
- 32.85 deg, I 19, (1 2 -2)
- 40.56 deg, I 37, (2 2 -2)
- 41.28 deg, I 21, (2 0 1)
- 45.60 deg, I 21, (1 -3 1)

```
data_Sr2CoTcSe6
_cell_length_a 6.2903
_cell_length_b 6.2939
_cell_length_c 7.3973
_cell_angle_alpha 114.54
_cell_angle_beta 114.27
_cell_angle_gamma 90.10
_symmetry_space_group_name_H-M 'P 1'
_symmetry_Int_Tables_number 1
_symmetry_space_group_name_Hall 'P 1'
loop_
_atom_site_label
_atom_site_fract_x
_atom_site_fract_y
_atom_site_fract_z
Sr1 0.0000 0.0000 0.0000
Sr2 0.4896 0.4938 0.9919
Co1 0.2441 0.7463 0.4945
Tc1 0.7446 0.2467 0.4956
Se1 0.1092 0.0926 0.4998
Se2 0.3805 0.4014 0.4924
Se3 0.5204 0.0170 0.0464
Se4 0.6027 0.8959 0.5221
Se5 0.8869 0.5980 0.4699
Se6 0.9694 0.4769 0.9459
```

=====

# 6
Calculated powder diffraction line list
Compound: Ta11Co2Se8
Radiation: Cu Kα (λ = 1.5418 Å)
Structure: a PBE-relaxed structure

Top 10 peaks for 10° ≤ 2θ ≤ 90°, low angle first:
- 11.60 deg, I 95, (1 2 0)
- 32.75 deg, I 60, (1 4 1)
- 34.29 deg, I 45, (3 0 1)
- 35.59 deg, I 100, (1 5 1)
- 37.03 deg, I 47, (3 3 1)
- 37.91 deg, I 42, (2 5 1)
- 38.15 deg, I 37, (5 2 0)
- 39.10 deg, I 61, (3 7 0)
- 40.76 deg, I 79, (4 2 1)
- 53.52 deg, I 43, (0 0 2)

```
data_Ta11Co2Se8
_cell_length_a 12.1516
_cell_length_b 19.5892
_cell_length_c 3.4245
_cell_angle_alpha 90.00
_cell_angle_beta 90.00
_cell_angle_gamma 90.00
_symmetry_space_group_name_H-M 'P n n m'
_symmetry_Int_Tables_number 58
_symmetry_space_group_name_Hall '-P 2 2n'
loop_
_atom_site_label
_atom_site_fract_x
_atom_site_fract_y
_atom_site_fract_z
Ta1 0.0000 0.0000 0.0000
Ta2 0.0511 0.2430 0.0000
Ta3 0.0601 0.1161 0.5000
Ta4 0.1551 0.7884 0.5000
Ta5 0.1713 0.3542 0.5000
Ta6 0.1811 0.9476 0.5000
Co1 0.0954 0.8721 0.0000
Se1 0.0437 0.6737 0.5000
Se2 0.1079 0.4473 0.0000
Se3 0.2053 0.0561 0.0000
Se4 0.2142 0.2150 0.5000
```